No. 1
Computed powder XRD pattern
Compound: Ba4Sr5Cd2
Radiation: λ = 1.5418 Å (Cu Kα)
Structure: a crystal structure in Alexandria, relaxed with GGA-PBE
Lines closer than 0.1° are merged.

Atomic structure:
```
Ba4Sr5Cd2
1.0
10.589 0.000 0.000
0.000 4.354 0.000
-0.625 0.000 12.518
Ba Sr Cd
4 5 2
Cartesian
1.749 0.000 4.286
1.520 0.000 12.030
8.444 0.000 0.488
8.215 0.000 8.231
1.297 2.177 8.164
4.892 2.177 2.132
4.982 2.177 6.259
5.072 2.177 10.386
8.667 2.177 4.353
0.477 2.177 1.777
9.488 2.177 10.741
```

Peak list (10 most intense, 2θ from 15° to 90°, by angle)
2θ/deg  I/Imax
23.32  16
25.26  23
26.09  17
26.54  100
27.70  13
27.89  19
29.66  37
29.77  18
33.20  11
41.48  15

=====

No. 2
Computed powder XRD pattern
Compound: Ac3Te2N
Radiation: λ = 1.5418 Å (Cu Kα)
Structure: a crystal structure in Alexandria, relaxed with GGA-PBE
Lines closer than 0.1° are merged.

Atomic structure:
```
Ac3Te2N
1.0
6.844 -2.156 0.000
6.844 2.156 0.000
-4.367 0.000 6.947
Ac Te N
3 2 1
Cartesian
0.000 0.000 0.000
6.346 0.000 3.448
10.218 0.000 1.790
-0.578 0.000 6.226
2.774 0.000 4.210
-1.101 0.000 2.179
```

Peak list (10 most intense, 2θ from 15° to 90°, by angle)
2θ/deg  I/Imax
26.28  60
27.52  100
31.55  71
33.15  24
36.56  15
41.91  19
44.37  28
48.38  13
50.15  21
52.36  17

=====

No. 3
Computed powder XRD pattern
Compound: Ca2NdZn2Sn2
Radiation: λ = 1.5418 Å (Cu Kα)
Structure: a crystal structure in Alexandria, relaxed with GGA-PBE
Lines closer than 0.1° are merged.

Atomic structure:
```
Ca2NdZn2Sn2
1.0
2.263 1.307 11.501
-2.263 1.307 11.501
0.000 -2.613 11.501
Ca Nd Zn Sn
2 1 2 2
Cartesian
0.000 0.000 4.188
0.000 0.000 30.314
0.000 0.000 0.000
0.000 0.000 13.236
0.000 0.000 21.266
0.000 0.000 9.267
0.000 0.000 25.235
```

Peak list (10 most intense, 2θ from 15° to 90°, by angle)
2θ/deg  I/Imax
29.11  45
30.82  100
36.69  33
39.83  75
40.63  25
51.19  24
57.09  25
63.61  17
66.76  26
72.31  13